[1]
This entry pairs a crystal structure of CaCoN2 with its calculated powder diffractogram. Radiation: a wavelength of 1.5418 Å. Structure: a GGA-PBE-relaxed structure.
Neutral-atom scattering factors, no anomalous dispersion.

Crystal structure
abc: 11.7706 8.3382 8.7061
angles: 90.00 90.00 90.00
Fractional coordinates of all 32 atoms:
Ca  0.1691  0.1182  0.0000
Ca  0.1787  0.6137  0.8701
Ca  0.3213  0.1137  0.3701
Ca  0.3309  0.6182  0.5000
Ca  0.6691  0.3818  0.0000
Ca  0.6787  0.8863  0.8701
Ca  0.8213  0.3863  0.3701
Ca  0.8309  0.8818  0.5000
Co  0.0077  0.6446  0.6043
Co  0.0145  0.1520  0.2903
Co  0.4855  0.6520  0.7903
Co  0.4923  0.1446  0.1043
Co  0.5077  0.8554  0.6043
Co  0.5145  0.3480  0.2903
Co  0.9855  0.8480  0.7903
Co  0.9923  0.3554  0.1043
N  0.1001  0.8782  0.8907
N  0.1120  0.4000  0.0230
N  0.1394  0.0737  0.2725
N  0.1413  0.6124  0.5862
N  0.3587  0.1124  0.0862
N  0.3606  0.5737  0.7725
N  0.3880  0.9000  0.5230
N  0.3999  0.3782  0.3907
N  0.6001  0.6218  0.8907
N  0.6120  0.1000  0.0230
N  0.6394  0.4263  0.2725
N  0.6413  0.8876  0.5862
N  0.8587  0.3876  0.0862
N  0.8606  0.9263  0.7725
N  0.8880  0.6000  0.5230
N  0.8999  0.1218  0.3907

Main lines, in order of rising 2θ (2θ = 5–70°):
2θ = 14.71°, intensity 100; 2θ = 15.05°, intensity 16; 2θ = 16.54°, intensity 13; 2θ = 18.19°, intensity 16; 2θ = 21.11°, intensity 24; 2θ = 22.63°, intensity 17; 2θ = 24.27°, intensity 20; 2θ = 32.99°, intensity 23; 2θ = 38.55°, intensity 23; 2θ = 45.09°, intensity 14

[2]
This entry pairs a crystal structure of KNa2GaO3 with its calculated powder diffractogram. Radiation: a wavelength of 1.5418 Å. Structure: a GGA-PBE-relaxed structure.
Neutral-atom scattering factors, no anomalous dispersion.

Crystal structure
abc: 6.5665 6.2456 10.3476
angles: 90.00 90.00 90.00
Fractional coordinates of all 28 atoms:
K  0.1595  0.2500  0.0259
K  0.3405  0.7500  0.5259
K  0.6595  0.2500  0.4741
K  0.8405  0.7500  0.9741
Na  0.0075  0.0067  0.7309
Na  0.0075  0.4933  0.7309
Na  0.4925  0.5067  0.2309
Na  0.4925  0.9933  0.2309
Na  0.5075  0.0067  0.7691
Na  0.5075  0.4933  0.7691
Na  0.9925  0.5067  0.2691
Na  0.9925  0.9933  0.2691
Ga  0.1699  0.2500  0.4920
Ga  0.3301  0.7500  0.9920
Ga  0.6699  0.2500  0.0080
Ga  0.8301  0.7500  0.5080
O  0.0000  0.0000  0.5000
O  0.0000  0.5000  0.5000
O  0.1748  0.7500  0.1408
O  0.2136  0.7500  0.8299
O  0.2864  0.2500  0.3299
O  0.3252  0.2500  0.6408
O  0.5000  0.0000  0.0000
O  0.5000  0.5000  0.0000
O  0.6748  0.7500  0.3592
O  0.7136  0.7500  0.6701
O  0.7864  0.2500  0.1701
O  0.8252  0.2500  0.8592

Main lines, in order of rising 2θ (2θ = 5–70°):
2θ = 15.99°, intensity 30; 2θ = 17.14°, intensity 71; 2θ = 21.43°, intensity 78; 2θ = 30.77°, intensity 42; 2θ = 32.29°, intensity 35; 2θ = 33.52°, intensity 93; 2θ = 34.68°, intensity 51; 2θ = 35.43°, intensity 100; 2θ = 39.84°, intensity 71; 2θ = 47.03°, intensity 44

[3]
This entry pairs a crystal structure of SnAu5 with its calculated powder diffractogram. Radiation: a wavelength of 1.5418 Å. Structure: a GGA-PBE-relaxed structure.
Neutral-atom scattering factors, no anomalous dispersion.

Crystal structure
abc: 5.7334 5.7334 5.7334
angles: 53.98 53.98 53.98
Fractional coordinates of all 6 atoms:
Sn  0.0000  0.0000  0.0000
Au  0.1725  0.5000  0.8275
Au  0.3300  0.3300  0.3300
Au  0.5000  0.8275  0.1725
Au  0.6700  0.6700  0.6700
Au  0.8275  0.1725  0.5000

Main lines, in order of rising 2θ (2θ = 5–70°):
2θ = 18.17°, intensity 1; 2θ = 20.62°, intensity 2; 2θ = 23.17°, intensity 1; 2θ = 34.47°, intensity 24; 2θ = 36.58°, intensity 1; 2θ = 36.81°, intensity 26; 2θ = 39.23°, intensity 100; 2θ = 51.32°, intensity 16; 2θ = 61.75°, intensity 18; 2θ = 67.93°, intensity 20

Please write out number 3 again, unchanged.
This entry pairs a crystal structure of SnAu5 with its calculated powder diffractogram. Radiation: a wavelength of 1.5418 Å. Structure: a GGA-PBE-relaxed structure.
Neutral-atom scattering factors, no anomalous dispersion.

Crystal structure
abc: 5.7334 5.7334 5.7334
angles: 53.98 53.98 53.98
Fractional coordinates of all 6 atoms:
Sn  0.0000  0.0000  0.0000
Au  0.1725  0.5000  0.8275
Au  0.3300  0.3300  0.3300
Au  0.5000  0.8275  0.1725
Au  0.6700  0.6700  0.6700
Au  0.8275  0.1725  0.5000

Main lines, in order of rising 2θ (2θ = 5–70°):
2θ = 18.17°, intensity 1; 2θ = 20.62°, intensity 2; 2θ = 23.17°, intensity 1; 2θ = 34.47°, intensity 24; 2θ = 36.58°, intensity 1; 2θ = 36.81°, intensity 26; 2θ = 39.23°, intensity 100; 2θ = 51.32°, intensity 16; 2θ = 61.75°, intensity 18; 2θ = 67.93°, intensity 20